Record 1
Structure and computed powder XRD pattern of Zn2AsPb (the GGA-PBE geometry in Alexandria; Cu Kα X-rays).
Neutral-atom scattering factors, no anomalous dispersion.

Crystal structure
Cell: 3.7616 3.9032 11.8457 Å, 90.00 90.00 90.00°
Space group Imm2 (No. 44)
Symmetry-distinct sites (fractional):
1 Zn 0.0000 0.0000 0.0000 [2 per cell]
2 Zn 0.0000 0.5000 0.1658 [2 per cell]
3 As 0.0000 0.5000 0.6641 [2 per cell]
4 Pb 0.0000 0.0000 0.3792 [2 per cell]

Principal peaks in the range 10 to 80 degrees two-theta, by angle:
2theta  I (rel.)
24.00  278
24.83  241
30.18  202
32.25  329
32.89  327
36.48  1000
44.75  150
46.53  167
48.40  148
58.13  196


Record 2
Structure and computed powder XRD pattern of Tl5S4 (the GGA-PBE geometry in Alexandria; Cu Kα X-rays).
Neutral-atom scattering factors, no anomalous dispersion.

Crystal structure
Cell: 11.9856 11.9856 4.0911 Å, 90.00 90.00 90.00°
Space group I4/m (No. 87)
Symmetry-distinct sites (fractional):
1 Tl 0.0000 0.0000 0.0000 [2 per cell]
2 Tl 0.1028 0.2550 0.5000 [8 per cell]
3 S 0.0912 0.7992 0.0000 [8 per cell]

Principal peaks in the range 10 to 80 degrees two-theta, by angle:
2theta  I (rel.)
10.44  253
23.47  527
27.43  1000
33.43  355
34.77  242
43.77  296
50.71  144
51.48  139
53.86  107
56.60  160